Computed PXRD pattern
Compound: Li3NiO2F
Radiation: Cu Kα, 1.54184 Å
Structure: a cell relaxed with GGA+U

Top 10 peaks for 2θ from 10° to 80°, most intense first:
- 26.5 deg, I = 100.0, (0 1 1)
- 13.9 deg, I = 77.6, (1 1 0)
- 26.9 deg, I = 74.7, (1 0 1)
- 28.5 deg, I = 56.4, (1 1 1)
- 37.7 deg, I = 45.6, (0 4 0)
- 42.1 deg, I = 42.9, (4 0 0)
- 39.2 deg, I = 40.3, (1 3 1)
- 21.3 deg, I = 33.0, (1 2 0)
- 54.4 deg, I = 31.1, (0 5 1)
- 50.5 deg, I = 26.9, (4 1 1)

Crystal structure
Cell: 8.584 9.541 3.592 Å, 90.00 90.00 90.00°
Sites, in units of the cell vectors:
1 Li 0.096 0.168 0.000
2 Li 0.118 0.917 0.500
3 Li 0.158 0.325 0.500
4 Li 0.342 0.825 0.000
5 Li 0.382 0.417 0.000
6 Li 0.404 0.668 0.500
7 Li 0.596 0.332 0.500
8 Li 0.618 0.583 0.000
9 Li 0.658 0.175 0.000
10 Li 0.842 0.675 0.500
11 Li 0.882 0.083 0.500
12 Li 0.904 0.832 0.000
13 Ni 0.127 0.595 0.000
14 Ni 0.373 0.095 0.500
15 Ni 0.627 0.905 0.500
16 Ni 0.873 0.405 0.000
17 O 0.101 0.387 0.000
18 O 0.149 0.116 0.500
19 O 0.351 0.616 0.000
20 O 0.399 0.887 0.500
21 O 0.601 0.113 0.500
22 O 0.649 0.384 0.000
23 O 0.851 0.884 0.500
24 O 0.899 0.613 0.000
25 F 0.123 0.833 0.000
26 F 0.377 0.333 0.500
27 F 0.623 0.667 0.500
28 F 0.877 0.167 0.000